K2Ta3Cl9: theoretical X-ray powder pattern (λ = 1.5418 Å (Cu Kα)), based on DFT lattice parameters and positions (PBE).
Peak positions follow from Bragg's law for the DFT cell and can differ from measured ones.

Cell and atoms:
a = 10.0631 Å, b = 16.6247 Å, c = 9.5392 Å
α = 90.00°, β = 115.07°, γ = 90.00°
Space group C2/m (No. 12)
Unique sites:
K 0.1090 0.1613 0.3238 [8 per cell]
Ta 0.1186 0.5000 0.8697 [4 per cell]
Ta 0.1347 0.4130 0.1405 [8 per cell]
Cl 0.0000 0.2916 0.0000 [4 per cell]
Cl 0.0197 0.3958 0.3211 [8 per cell]
Cl 0.1756 0.0000 0.6659 [4 per cell]
Cl 0.1928 0.1976 0.6768 [8 per cell]
Cl 0.1978 0.1049 0.9876 [8 per cell]
Cl 0.2312 0.0000 0.2916 [4 per cell]

Main lines, by angle (2θ = 10–90°):
2θ (°)  I/Imax  (hkl)
10.24  62.7  0 0 1
10.64  57.2  0 2 0
11.07  100.0  1 1 0
11.97  74.7  1 1 -1
14.79  25.0  0 2 1
32.99  16.7  3 1 -3
33.65  23.0  2 4 1
37.91  25.0  1 5 2